# 1
Theoretical powder XRD pattern of Nb6TlTe8 for CuKα, from a crystal structure in the Materials Project, relaxed with PBE.

```
data_Nb6TlTe8
_symmetry_space_group_name_H-M 'P -3'
_symmetry_Int_Tables_number 147
_symmetry_space_group_name_Hall '-P 3'
_cell_length_a 10.8465
_cell_length_b 10.8465
_cell_length_c 3.6836
_cell_angle_alpha 90.00
_cell_angle_beta 90.00
_cell_angle_gamma 120.00
loop_
_atom_site_label
_atom_site_fract_x
_atom_site_fract_y
_atom_site_fract_z
Nb1 0.1013 0.6128 0.2503
Tl1 0.0000 0.0000 0.5000
Te1 0.0639 0.3370 0.2481
Te2 0.3333 0.6667 0.7498
```

Main lines, in order of rising 2θ (5 to 70 degrees two-theta):
two_theta	intensity	index
28.5	61	3 0 0
29.3	30	1 1 1
30.8	66	2 0 1
34.4	75	1 3 0
35.1	100	1 2 1
41.3	37	4 -2 1
42.5	28	4 -3 1
44.2	26	4 1 0
49.0	28	2 3 1
61.7	35	5 2 0

***

# 2
Theoretical powder XRD pattern of Th3Nb for CuKα, from a crystal structure in the Materials Project, relaxed with PBE.

```
data_Th3Nb
_symmetry_space_group_name_H-M 'P 63/m m c'
_symmetry_Int_Tables_number 194
_symmetry_space_group_name_Hall '-P 6c 2c'
_cell_length_a 6.7374
_cell_length_b 6.7374
_cell_length_c 5.8212
_cell_angle_alpha 90.00
_cell_angle_beta 90.00
_cell_angle_gamma 120.00
loop_
_atom_site_label
_atom_site_fract_x
_atom_site_fract_y
_atom_site_fract_z
Th1 0.1754 0.3508 0.2500
Nb1 0.3333 0.6667 0.7500
```

Main lines, in order of rising 2θ (5 to 70 degrees two-theta):
two_theta	intensity	index
21.6	13	1 0 1
30.7	53	0 0 2
34.4	100	2 0 1
40.9	5	2 1 0
43.9	18	2 0 2
54.5	18	2 2 0
57.0	25	2 0 3
63.8	25	2 2 2
64.0	4	0 0 4
66.0	15	4 0 1

***

# 3
Theoretical powder XRD pattern of ZrTiNb for CuKα, from a crystal structure in the Materials Project, relaxed with PBE.

```
data_ZrTiNb
_symmetry_space_group_name_H-M 'F m m 2'
_symmetry_Int_Tables_number 42
_symmetry_space_group_name_Hall 'F 2 -2'
_cell_length_a 3.453
_cell_length_b 4.691
_cell_length_c 14.487
_cell_angle_alpha 90.00
_cell_angle_beta 90.00
_cell_angle_gamma 90.00
loop_
_atom_site_label
_atom_site_fract_x
_atom_site_fract_y
_atom_site_fract_z
Zr1 0.000 0.000 0.000
Ti1 0.000 0.000 0.323
Nb1 0.000 0.000 0.674
```

Main lines, in order of rising 2θ (5 to 70 degrees two-theta):
two_theta	intensity	index
12.2	9	0 0 2
32.8	5	1 1 1
37.3	100	1 1 3
38.4	19	0 2 0
53.0	7	2 0 0
54.5	13	0 2 6
66.6	7	2 0 6
67.2	12	1 1 9
67.3	7	2 2 0
68.7	13	1 3 3